Diffraction record for Mn4Pd3Au8. The XRD peak list is computed, not measured: it uses the PBE geometry in Alexandria and Cu Kα.

Structure:
```
data_Mn4Pd3Au8
_chemical_formula_sum 'Mn4 Pd3 Au8'
_symmetry_space_group_name_H-M 'P m -3 m'
_symmetry_Int_Tables_number 221
_symmetry_space_group_name_Hall '-P 4 2 3'
_cell_length_a 6.3702
_cell_length_b 6.3702
_cell_length_c 6.3702
_cell_angle_alpha 90.00
_cell_angle_beta 90.00
_cell_angle_gamma 90.00
loop_
_atom_site_label
_atom_site_type_symbol
_atom_site_fract_x
_atom_site_fract_y
_atom_site_fract_z
_atom_site_occupancy
Mn1 Mn 0.0000 0.0000 0.0000 1
Mn2 Mn 0.0000 0.5000 0.5000 1
Pd1 Pd 0.0000 0.0000 0.5000 1
Au1 Au 0.2619 0.2619 0.2619 1
```

Most intense lines, 10° ≤ 2θ ≤ 90°, sorted by position:
- hkl 2 0 0, 3.185 Å, 28.01 deg, I 29
- hkl 2 2 0, 2.252 Å, 40.03 deg, I 100
- hkl 4 0 0, 1.593 Å, 57.90 deg, I 16
- hkl 4 2 0, 1.424 Å, 65.53 deg, I 10
- hkl 4 2 2, 1.300 Å, 72.72 deg, I 32
- hkl 4 4 0, 1.126 Å, 86.41 deg, I 10